Calculated powder diffraction line list of CaSi2SnO6 for Cu Kα (weighted mean of Kα1 and Kα2), from a cell relaxed with PBE.
Lines closer than 0.1° are merged.

Top 10 peaks for 10° ≤ 2θ ≤ 90°, low angle first:
2θ/deg	Rel. int.
12.5	33
17.1	25
27.3	32
27.9	100
32.4	22
32.7	46
34.1	28
39.4	21
51.5	21
54.3	17

Structure:
```
data_CaSi2SnO6
_chemical_formula_sum 'Ca2 Si4 Sn2 O12'
_symmetry_space_group_name_H-M 'P 1'
_symmetry_Int_Tables_number 1
_cell_length_a 7.238
_cell_length_b 7.238
_cell_length_c 5.425
_cell_angle_alpha 100.43
_cell_angle_beta 100.43
_cell_angle_gamma 84.58
loop_
_symmetry_equiv_pos_as_xyz
'x,y,z'
loop_
_atom_site_label
_atom_site_type_symbol
_atom_site_fract_x
_atom_site_fract_y
_atom_site_fract_z
Ca1 Ca 0.179 0.821 0.750
Ca2 Ca 0.821 0.179 0.250
Si1 Si 0.117 0.312 0.762
Si2 Si 0.312 0.117 0.262
Si3 Si 0.688 0.883 0.738
Si4 Si 0.883 0.688 0.238
Sn1 Sn 0.387 0.613 0.250
Sn2 Sn 0.613 0.387 0.750
O1 O 0.108 0.675 0.343
O2 O 0.162 0.189 0.008
O3 O 0.189 0.162 0.508
O4 O 0.208 0.513 0.835
O5 O 0.325 0.892 0.157
O6 O 0.487 0.792 0.665
O7 O 0.513 0.208 0.335
O8 O 0.675 0.108 0.843
O9 O 0.792 0.487 0.165
O10 O 0.811 0.838 0.492
O11 O 0.838 0.811 0.992
O12 O 0.892 0.325 0.657
```